This entry pairs a crystal structure of Ag2OsCl4O2 with its calculated powder XRD pattern. Radiation: λ = 1.5418 Å (Cu Kα). Structure: a cell relaxed with GGA-PBE.
Neutral-atom scattering factors, no anomalous dispersion.

Cell and atoms:
abc: 11.479 7.027 6.118
angles: 90.00 112.55 90.00
Space group C2/m (No. 12)
Asymmetric unit:
Ag 0.236 0.000 0.183 (multiplicity 4)
Os 0.000 0.000 0.500 (multiplicity 2)
Cl 0.091 0.236 0.803 (multiplicity 8)
O 0.137 0.000 0.435 (multiplicity 4)

Main lines, in order of rising 2θ (10 to 90 degrees two-theta):
2theta	Rel. int.	h k l
15.13	1000	1 1 0
18.03	647	2 0 -1
24.09	958	1 1 1
25.35	231	0 2 0
27.23	645	3 1 -1
32.13	296	1 1 -2
37.47	391	2 2 1
39.35	401	2 2 -2
42.74	265	4 2 0
49.19	245	6 0 -2

This entry pairs a crystal structure of AgPb4ClO4 with its calculated powder XRD pattern. Radiation: λ = 1.5418 Å (Cu Kα). Structure: a cell relaxed with GGA-PBE.
Neutral-atom scattering factors, no anomalous dispersion.

Cell and atoms:
abc: 8.495 8.495 6.555
angles: 90.00 90.00 90.00
Space group P4/n (No. 85, origin choice 2)
Asymmetric unit:
Ag 0.250 0.250 0.108 (multiplicity 2)
Pb 0.051 0.608 0.222 (multiplicity 8)
Cl 0.250 0.250 0.496 (multiplicity 2)
O 0.001 0.839 0.067 (multiplicity 8)

Main lines, in order of rising 2θ (10 to 90 degrees two-theta):
2theta	Rel. int.	h k l
13.51	101	0 0 1
20.91	88	2 0 0
27.14	1000	2 1 1
33.35	224	1 3 0
34.56	130	2 0 2
36.19	89	2 1 2
43.56	134	1 3 2
46.19	138	4 1 1
48.03	140	2 1 3
55.91	167	5 0 1

This entry pairs a crystal structure of Ag3OsCl8 with its calculated powder XRD pattern. Radiation: λ = 1.5418 Å (Cu Kα). Structure: a cell relaxed with GGA-PBE.
Neutral-atom scattering factors, no anomalous dispersion.

Cell and atoms:
abc: 7.181 11.348 8.045
angles: 90.00 90.00 90.00
Space group C222 (No. 21)
Asymmetric unit:
Ag 0.000 0.000 0.000 (multiplicity 2)
Ag 0.250 0.250 0.767 (multiplicity 4)
Os 0.000 0.000 0.500 (multiplicity 2)
Cl 0.000 0.206 0.500 (multiplicity 4)
Cl 0.000 0.217 0.000 (multiplicity 4)
Cl 0.230 0.005 0.704 (multiplicity 8)

Main lines, in order of rising 2θ (10 to 90 degrees two-theta):
2theta	Rel. int.	h k l
14.60	1000	1 1 0
18.31	566	1 1 1
26.59	495	1 1 2
28.89	157	1 3 1
31.53	355	0 4 0
33.45	657	2 0 2
44.78	146	3 1 2
45.09	169	0 0 4
46.63	413	2 4 2
47.68	228	1 5 2

This entry pairs a crystal structure of AgOsCl4 with its calculated powder XRD pattern. Radiation: λ = 1.5418 Å (Cu Kα). Structure: a cell relaxed with GGA-PBE.
Neutral-atom scattering factors, no anomalous dispersion.

Cell and atoms:
abc: 7.322 7.475 7.573
angles: 90.00 90.00 90.00
Space group P222 (No. 16)
Asymmetric unit:
Ag 0.000 0.000 0.000 (multiplicity 1)
Ag 0.500 0.500 0.000 (multiplicity 1)
Os 0.000 0.000 0.500 (multiplicity 1)
Os 0.500 0.000 0.000 (multiplicity 1)
Cl 0.002 0.217 0.287 (multiplicity 4)
Cl 0.498 0.216 0.786 (multiplicity 4)

Main lines, in order of rising 2θ (10 to 90 degrees two-theta):
2theta	Rel. int.	h k l
11.69	277	0 0 1
11.84	1000	0 1 0
16.84	941	1 0 1
16.95	245	1 1 0
24.31	829	2 0 0
27.11	372	2 1 0
29.31	246	1 2 1
33.69	614	0 2 2
41.98	650	2 2 2
45.07	221	1 2 3

This entry pairs a crystal structure of Ag2OsCl5 with its calculated powder XRD pattern. Radiation: λ = 1.5418 Å (Cu Kα). Structure: a cell relaxed with GGA-PBE.
Neutral-atom scattering factors, no anomalous dispersion.

Cell and atoms:
abc: 4.641 7.215 7.310
angles: 84.17 72.10 73.63
Space group P1 (No. 1)
Asymmetric unit:
Ag 0.000 0.000 0.000 (multiplicity 1)
Ag 0.127 0.359 0.437 (multiplicity 1)
Os 0.770 0.885 0.544 (multiplicity 1)
Cl 0.231 0.952 0.564 (multiplicity 1)
Cl 0.546 0.064 0.843 (multiplicity 1)
Cl 0.731 0.186 0.354 (multiplicity 1)
Cl 0.814 0.595 0.719 (multiplicity 1)
Cl 0.986 0.712 0.256 (multiplicity 1)

Main lines, in order of rising 2θ (10 to 90 degrees two-theta):
2theta	Rel. int.	h k l
12.76	1000	0 1 0
20.86	248	1 0 0
21.45	462	1 1 1
25.62	153	0 0 2
28.56	392	0 1 2
29.00	268	0 2 -1
38.85	217	2 1 1
41.86	116	-1 1 2
42.95	116	1 2 3
43.56	126	1 3 -1

This entry pairs a crystal structure of Ag2OsCl7 with its calculated powder XRD pattern. Radiation: λ = 1.5418 Å (Cu Kα). Structure: a cell relaxed with GGA-PBE.
Neutral-atom scattering factors, no anomalous dispersion.

Cell and atoms:
abc: 16.398 7.609 11.899
angles: 90.00 125.99 90.00
Space group C2/c (No. 15)
Asymmetric unit:
Ag 0.055 0.199 0.112 (multiplicity 8)
Os 0.000 0.277 0.750 (multiplicity 4)
Cl 0.000 0.052 0.250 (multiplicity 4)
Cl 0.096 0.473 0.266 (multiplicity 8)
Cl 0.102 0.178 0.674 (multiplicity 8)
Cl 0.134 0.261 0.990 (multiplicity 8)

Main lines, in order of rising 2θ (10 to 90 degrees two-theta):
2theta	Rel. int.	h k l
13.35	1000	2 0 0
13.87	283	1 1 -1
20.17	208	3 1 -1
23.38	197	0 2 0
25.62	155	3 1 -3
27.07	281	1 1 -3
28.60	148	2 0 2
30.76	153	5 1 -3
34.46	167	1 1 3
44.56	144	8 0 -4

This entry pairs a crystal structure of AgPCl6 with its calculated powder XRD pattern. Radiation: λ = 1.5418 Å (Cu Kα). Structure: a cell relaxed with GGA-PBE.
Neutral-atom scattering factors, no anomalous dispersion.

Cell and atoms:
abc: 6.3039 6.3039 16.8298
angles: 90.00 90.00 120.00
Space group R-3 (No. 148, hexagonal axes)
Asymmetric unit:
Ag 0.0000 0.0000 0.0000 (multiplicity 3)
P 0.0000 0.0000 0.5000 (multiplicity 3)
Cl 0.0071 0.2870 0.4255 (multiplicity 18)

Main lines, in order of rising 2θ (10 to 90 degrees two-theta):
2theta	Rel. int.	h k l
19.38	1000	0 1 2
26.75	293	1 0 4
31.22	138	0 1 5
32.59	716	2 -1 3
33.25	178	0 2 1
39.35	124	0 2 4
43.17	471	1 1 6
45.25	152	1 2 2
49.18	186	2 1 4
50.13	224	3 0 0

This entry pairs a crystal structure of AgP4Cl with its calculated powder XRD pattern. Radiation: λ = 1.5418 Å (Cu Kα). Structure: a cell relaxed with GGA-PBE.
Neutral-atom scattering factors, no anomalous dispersion.

Cell and atoms:
abc: 8.098 8.098 8.098
angles: 90.00 90.00 90.00
Space group F-43m (No. 216)
Asymmetric unit:
Ag 0.000 0.000 0.000 (multiplicity 4)
P 0.096 0.096 0.404 (multiplicity 16)
Cl 0.250 0.250 0.750 (multiplicity 4)

Main lines, in order of rising 2θ (10 to 90 degrees two-theta):
2theta	Rel. int.	h k l
18.98	131	1 1 1
21.95	602	2 0 0
31.24	918	2 2 0
36.81	1000	3 1 1
38.51	213	2 2 2
49.03	227	3 3 1
55.60	284	4 2 2
59.29	498	5 1 1
65.17	172	4 4 0
68.55	121	5 3 1

This entry pairs a crystal structure of ScAgP2Cl with its calculated powder XRD pattern. Radiation: λ = 1.5418 Å (Cu Kα). Structure: a cell relaxed with GGA-PBE.
Neutral-atom scattering factors, no anomalous dispersion.

Cell and atoms:
abc: 5.029 5.029 4.921
angles: 90.00 90.00 90.00
Space group P4/mmm (No. 123)
Asymmetric unit:
Sc 0.000 0.000 0.000 (multiplicity 1)
Ag 0.500 0.500 0.500 (multiplicity 1)
P 0.000 0.500 0.000 (multiplicity 2)
Cl 0.000 0.000 0.500 (multiplicity 1)

Main lines, in order of rising 2θ (10 to 90 degrees two-theta):
2theta	Rel. int.	h k l
25.04	546	1 1 0
25.32	895	1 0 1
31.03	1000	1 1 1
35.71	796	2 0 0
36.52	373	0 0 2
44.28	395	2 1 1
51.40	259	2 2 0
52.00	498	2 0 2
61.26	253	3 1 1
64.68	248	2 2 2

This entry pairs a crystal structure of PaAg2Cl6 with its calculated powder XRD pattern. Radiation: λ = 1.5418 Å (Cu Kα). Structure: a cell relaxed with GGA-PBE.
Neutral-atom scattering factors, no anomalous dispersion.

Cell and atoms:
abc: 7.1031 7.1031 19.2066
angles: 90.00 90.00 120.00
Space group R3 (No. 146, hexagonal axes)
Asymmetric unit:
Pa 0.0000 0.0000 0.0000 (multiplicity 3)
Ag 0.0000 0.0000 0.2498 (multiplicity 3)
Ag 0.0000 0.0000 0.4105 (multiplicity 3)
Cl 0.0323 0.6800 0.5874 (multiplicity 9)
Cl 0.0361 0.3634 0.7500 (multiplicity 9)

Main lines, in order of rising 2θ (10 to 90 degrees two-theta):
2theta	Rel. int.	h k l
13.83	473	0 0 3
15.12	1000	1 0 1
17.12	581	0 1 2
23.50	496	1 0 4
25.07	704	1 1 0
27.37	577	0 1 5
28.75	758	2 -1 3
44.19	733	3 0 0
45.61	348	3 -2 5
51.50	345	2 1 7

This entry pairs a crystal structure of PaAg2Cl8 with its calculated powder XRD pattern. Radiation: λ = 1.5418 Å (Cu Kα). Structure: a cell relaxed with GGA-PBE.
Neutral-atom scattering factors, no anomalous dispersion.

Cell and atoms:
abc: 16.733 10.395 11.487
angles: 90.00 130.61 90.00
Space group C2/c (No. 15)
Asymmetric unit:
Pa 0.000 0.249 0.250 (multiplicity 4)
Ag 0.249 0.408 0.996 (multiplicity 8)
Cl 0.105 0.250 0.535 (multiplicity 8)
Cl 0.121 0.425 0.277 (multiplicity 8)
Cl 0.122 0.074 0.279 (multiplicity 8)
Cl 0.125 0.251 0.960 (multiplicity 8)

Main lines, in order of rising 2θ (10 to 90 degrees two-theta):
2theta	Rel. int.	h k l
11.49	232	1 1 -1
15.44	1000	2 0 -2
17.82	787	1 1 1
18.38	652	3 1 -1
22.10	386	2 2 0
27.45	532	4 2 -2
28.01	465	1 1 -3
39.00	255	3 3 1
39.55	312	5 3 -1
47.52	245	5 3 -5

This entry pairs a crystal structure of PaTlAgCl6 with its calculated powder XRD pattern. Radiation: λ = 1.5418 Å (Cu Kα). Structure: a cell relaxed with GGA-PBE.
Neutral-atom scattering factors, no anomalous dispersion.

Cell and atoms:
abc: 7.0219 7.0219 14.3151
angles: 90.00 90.00 120.00
Space group P-31c (No. 163)
Asymmetric unit:
Pa 0.3333 0.6667 0.2500 (multiplicity 2)
Tl 0.0000 0.0000 0.0000 (multiplicity 2)
Ag 0.3333 0.6667 0.7500 (multiplicity 2)
Cl 0.0150 0.3691 0.1415 (multiplicity 12)

Main lines, in order of rising 2θ (10 to 90 degrees two-theta):
2theta	Rel. int.	h k l
19.15	1000	1 0 2
25.37	338	1 1 0
28.31	132	1 1 2
31.98	264	2 0 2
35.83	613	1 1 4
40.62	137	1 0 6
41.25	284	2 1 2
44.71	211	3 0 0
58.57	140	4 -2 4
76.57	124	4 1 4

This entry pairs a crystal structure of Ag4PbCl7 with its calculated powder XRD pattern. Radiation: λ = 1.5418 Å (Cu Kα). Structure: a cell relaxed with GGA-PBE.
Neutral-atom scattering factors, no anomalous dispersion.

Cell and atoms:
abc: 12.786 3.916 13.228
angles: 90.00 109.02 90.00
Space group Cm (No. 8)
Asymmetric unit:
Ag 0.000 0.000 0.000 (multiplicity 2)
Ag 0.097 0.000 0.396 (multiplicity 2)
Ag 0.295 0.500 0.257 (multiplicity 2)
Ag 0.399 0.000 0.538 (multiplicity 2)
Pb 0.210 0.000 0.823 (multiplicity 2)
Cl 0.040 0.000 0.595 (multiplicity 2)
Cl 0.105 0.500 0.929 (multiplicity 2)
Cl 0.157 0.000 0.203 (multiplicity 2)
Cl 0.248 0.500 0.469 (multiplicity 2)
Cl 0.336 0.500 0.767 (multiplicity 2)
Cl 0.375 0.000 0.026 (multiplicity 2)
Cl 0.446 0.000 0.326 (multiplicity 2)

Main lines, in order of rising 2θ (10 to 90 degrees two-theta):
2theta	Rel. int.	h k l
14.16	607	0 0 2
21.59	893	2 0 -3
23.57	1000	2 0 2
23.89	459	1 1 0
30.53	441	1 1 -3
31.01	700	3 1 -1
31.84	961	3 1 -2
34.26	609	3 1 1
37.98	515	3 1 2
45.57	492	5 1 -4